Record 1
The following is a theoretical PXRD pattern of KInSnSe4. It was derived from a structure optimized by DFT (PBE), using Cu Kα X-rays.
Peak positions follow from Bragg's law for the DFT cell and can differ from measured ones.

Peak list (6 most intense, 2θ from 5° to 70°, in order of falling intensity)
2theta	I_rel
13.68	100
13.06	91
27.56	87
34.44	53
25.11	51
24.02	49

a = 8.0440 Å, b = 12.9455 Å, c = 18.8815 Å
α = 90.00°, β = 98.25°, γ = 90.00°
Sites, in units of the cell vectors:
K1 0.2360 0.1015 0.4560
K2 0.2360 0.3985 0.9560
K3 0.2468 0.0704 0.8209
K4 0.2468 0.4296 0.3209
K5 0.7532 0.5704 0.6791
K6 0.7532 0.9296 0.1791
K7 0.7640 0.6015 0.0440
K8 0.7640 0.8985 0.5440
In1 0.0315 0.7430 0.8422
In2 0.0315 0.7570 0.3422
In3 0.4627 0.2434 0.6423
In4 0.4627 0.2566 0.1423
In5 0.5373 0.7434 0.8577
In6 0.5373 0.7566 0.3577
In7 0.9685 0.2430 0.6578
In8 0.9685 0.2570 0.1578
Sn1 0.2562 0.7044 0.1756
Sn2 0.2562 0.7956 0.6756
Sn3 0.3023 0.6716 0.5152
Sn4 0.3023 0.8284 0.0152
Sn5 0.6977 0.1716 0.9848
Sn6 0.6977 0.3284 0.4848
Sn7 0.7438 0.2044 0.3244
Sn8 0.7438 0.2956 0.8244
Se1 0.0336 0.1721 0.2882
Se2 0.0336 0.3279 0.7882
Se3 0.0614 0.5957 0.4281
Se4 0.0614 0.9043 0.9281
Se5 0.2108 0.1168 0.6409
Se6 0.2108 0.3832 0.1409
Se7 0.2470 0.6349 0.0453
Se8 0.2470 0.8651 0.5453
Se9 0.2840 0.6178 0.8466
Se10 0.2840 0.8822 0.3466
Se11 0.3065 0.6030 0.6448
Se12 0.3065 0.8970 0.1448
Se13 0.4030 0.1526 0.0190
Se14 0.4030 0.3474 0.5190
Se15 0.4974 0.1186 0.2461
Se16 0.4974 0.3814 0.7461
Se17 0.5026 0.6186 0.2539
Se18 0.5026 0.8814 0.7539
Se19 0.5970 0.6526 0.4810
Se20 0.5970 0.8474 0.9810
Se21 0.6935 0.1030 0.8552
Se22 0.6935 0.3970 0.3552
Se23 0.7160 0.1178 0.6534
Se24 0.7160 0.3822 0.1534
Se25 0.7530 0.1349 0.4547
Se26 0.7530 0.3651 0.9547
Se27 0.7892 0.6168 0.8591
Se28 0.7892 0.8832 0.3591
Se29 0.9386 0.0957 0.0719
Se30 0.9386 0.4043 0.5719
Se31 0.9664 0.6721 0.2118
Se32 0.9664 0.8279 0.7118

---

Record 2
The following is a theoretical PXRD pattern of LaIn. It was derived from a structure optimized by DFT (PBE), using Cu Kα X-rays.
Peak positions follow from Bragg's law for the DFT cell and can differ from measured ones.

Peak list (5 most intense, 2θ from 5° to 70°, in order of falling intensity)
2theta	I_rel
31.95	100
56.93	38
45.81	18
66.79	12
22.44	1

a = 3.9618 Å, b = 3.9618 Å, c = 3.9618 Å
α = 90.00°, β = 90.00°, γ = 90.00°
Sites, in units of the cell vectors:
La1 0.0000 0.0000 0.0000
In1 0.5000 0.5000 0.5000

---

Record 3
The following is a theoretical PXRD pattern of La3In. It was derived from a structure optimized by DFT (PBE), using Cu Kα X-rays.
Peak positions follow from Bragg's law for the DFT cell and can differ from measured ones.

Peak list (5 most intense, 2θ from 5° to 70°, in order of falling intensity)
2theta	I_rel
30.50	100
35.36	50
60.48	42
50.87	36
63.48	12

a = 5.0768 Å, b = 5.0768 Å, c = 5.0768 Å
α = 90.00°, β = 90.00°, γ = 90.00°
Sites, in units of the cell vectors:
La1 0.0000 0.0000 0.5000
La2 0.0000 0.5000 0.0000
La3 0.5000 0.0000 0.0000
In1 0.5000 0.5000 0.5000

---

Record 4
The following is a theoretical PXRD pattern of LaIn3. It was derived from a structure optimized by DFT (PBE), using Cu Kα X-rays.
Peak positions follow from Bragg's law for the DFT cell and can differ from measured ones.

Peak list (5 most intense, 2θ from 5° to 70°, in order of falling intensity)
2theta	I_rel
32.34	100
37.52	50
64.46	39
54.10	34
67.70	11

a = 4.7943 Å, b = 4.7943 Å, c = 4.7943 Å
α = 90.00°, β = 90.00°, γ = 90.00°
Sites, in units of the cell vectors:
La1 0.0000 0.0000 0.0000
In1 0.0000 0.5000 0.5000
In2 0.5000 0.0000 0.5000
In3 0.5000 0.5000 0.0000